1.
Calculated powder X-ray diffraction pattern
Compound: LiMg6Cr
Radiation: Cu Kα, 1.54184 Å
Structure: a DFT-relaxed cell (GGA-PBE, the Materials Project)
Kinematic intensities with the Lorentz-polarization factor, no thermal factor.

The 10 most intense peaks (2θ = 10–90°), low angle first:
2theta	I (rel.)
16.31	320
24.14	219
32.96	242
35.79	385
37.64	1000
38.07	481
49.44	146
59.47	161
65.54	177
71.39	178

Crystal structure
```
LiMg6Cr
1.0
5.017 0.000 0.000
0.000 3.153 5.360
0.000 -3.153 5.360
Li Mg Cr
1 6 1
direct
0.000 0.000 0.000 Li
0.000 0.000 0.498 Mg
0.000 0.498 0.000 Mg
0.500 0.334 0.825 Mg
0.500 0.337 0.337 Mg
0.500 0.825 0.334 Mg
0.500 0.834 0.834 Mg
0.000 0.500 0.500 Cr
```


2.
Calculated powder X-ray diffraction pattern
Compound: NaTa3
Radiation: Cu Kα, 1.54184 Å
Structure: a DFT-relaxed cell (GGA-PBE, the Materials Project)
Kinematic intensities with the Lorentz-polarization factor, no thermal factor.

The 10 most intense peaks (2θ = 10–90°), low angle first:
2theta	I (rel.)
23.03	181
26.66	95
38.06	1000
44.95	96
54.92	174
60.33	41
62.06	38
68.77	355
81.40	112
85.99	32

Crystal structure
```
NaTa3
1.0
0.000 3.344 3.344
3.344 0.000 3.344
3.344 3.344 0.000
Na Ta
1 3
direct
0.000 0.000 0.000 Na
0.250 0.250 0.250 Ta
0.500 0.500 0.500 Ta
0.750 0.750 0.750 Ta
```


3.
Calculated powder X-ray diffraction pattern
Compound: HfO2
Radiation: Cu Kα, 1.54184 Å
Structure: a DFT-relaxed cell (GGA-PBE, the Materials Project)
Kinematic intensities with the Lorentz-polarization factor, no thermal factor.

The 10 most intense peaks (2θ = 10–90°), low angle first:
2theta	I (rel.)
30.24	1000
34.17	131
35.30	152
35.70	127
49.94	136
50.25	124
51.08	143
58.76	110
60.25	156
60.79	142

Crystal structure
```
HfO2
1.0
5.086 0.000 0.000
0.000 10.059 0.000
0.000 0.000 5.248
Hf O
8 16
direct
0.246 0.116 0.036 Hf
0.246 0.384 0.536 Hf
0.254 0.616 0.036 Hf
0.254 0.884 0.536 Hf
0.746 0.116 0.464 Hf
0.746 0.384 0.964 Hf
0.754 0.616 0.464 Hf
0.754 0.884 0.964 Hf
0.002 0.023 0.739 O
0.002 0.477 0.239 O
0.124 0.711 0.373 O
0.124 0.789 0.873 O
0.376 0.211 0.373 O
0.376 0.289 0.873 O
0.498 0.523 0.739 O
0.498 0.977 0.239 O
0.502 0.023 0.761 O
0.502 0.477 0.261 O
0.624 0.711 0.127 O
0.624 0.789 0.627 O
0.876 0.211 0.127 O
0.876 0.289 0.627 O
0.998 0.523 0.761 O
0.998 0.977 0.261 O
```


4.
Calculated powder X-ray diffraction pattern
Compound: HfMnGe
Radiation: Cu Kα, 1.54184 Å
Structure: a DFT-relaxed cell (GGA-PBE, the Materials Project)
Kinematic intensities with the Lorentz-polarization factor, no thermal factor.

The 10 most intense peaks (2θ = 10–90°), low angle first:
2theta	I (rel.)
26.59	226
30.80	223
35.79	1000
39.11	888
41.14	365
46.95	198
48.10	234
57.21	200
62.71	297
75.71	197

Crystal structure
```
HfMnGe
1.0
6.704 0.000 0.000
-3.352 5.806 0.000
0.000 0.000 3.783
Hf Mn Ge
3 3 3
direct
0.000 0.413 0.000 Hf
0.413 0.000 0.000 Hf
0.587 0.587 0.000 Hf
0.000 0.756 0.500 Mn
0.244 0.244 0.500 Mn
0.756 0.000 0.500 Mn
0.000 0.000 0.000 Ge
0.333 0.667 0.500 Ge
0.667 0.333 0.500 Ge
```


5.
Calculated powder X-ray diffraction pattern
Compound: NdLuS3
Radiation: Cu Kα, 1.54184 Å
Structure: a DFT-relaxed cell (GGA-PBE, the Materials Project)
Kinematic intensities with the Lorentz-polarization factor, no thermal factor.

The 10 most intense peaks (2θ = 10–90°), low angle first:
2theta	I (rel.)
23.51	1000
24.00	273
25.80	209
31.40	325
32.83	363
36.82	323
37.41	217
38.00	207
47.41	255
53.04	228

Crystal structure
```
NdLuS3
1.0
1.940 -6.292 0.000
1.940 6.292 0.000
0.000 0.000 9.472
Nd Lu S
2 2 6
direct
0.247 0.753 0.750 Nd
0.753 0.247 0.250 Nd
0.500 0.500 0.000 Lu
0.500 0.500 0.500 Lu
0.142 0.858 0.063 S
0.142 0.858 0.437 S
0.413 0.587 0.250 S
0.587 0.413 0.750 S
0.858 0.142 0.563 S
0.858 0.142 0.937 S
```